1.
The following is a simulated XRD peak list of Nd2CdSb4. It was derived from DFT lattice parameters and positions (GGA-PBE), using copper Kα.

Main lines, by intensity (10° ≤ 2θ ≤ 90°):
2theta	I (rel.)	(hkl)
33.33	100	1 1 2
41.18	36	2 0 0
70.06	28	3 1 2
26.19	24	1 0 2
32.19	13	1 0 3
39.21	13	1 0 4
46.93	13	1 0 5
33.21	12	0 0 4
53.89	12	2 0 4
59.65	12	2 2 0

Crystal structure
```
Nd2CdSb4
1.0
4.384 0.000 0.000
0.000 4.384 0.000
0.000 0.000 10.790
Nd Cd Sb
2 1 4
direct
0.000 0.500 0.235
0.500 0.000 0.765
0.500 0.500 0.500
0.000 0.000 0.000
0.000 0.500 0.674
0.500 0.000 0.326
0.500 0.500 0.000
```


2.
The following is a simulated XRD peak list of Nd3ScCd. It was derived from DFT lattice parameters and positions (GGA-PBE), using copper Kα.

Main lines, by intensity (10° ≤ 2θ ≤ 90°):
2theta	I (rel.)	(hkl)
31.21	100	1 2 1
33.78	63	0 4 0
27.88	36	0 2 2
54.67	18	1 2 4
48.38	17	2 0 0
58.87	16	1 6 1
22.15	15	0 0 2
60.34	13	2 4 0
27.52	13	1 1 1
41.41	12	1 0 3

Crystal structure
```
Nd3ScCd
1.0
3.761 0.000 0.000
0.000 10.605 0.000
0.000 0.000 8.027
Nd Sc Cd
6 2 2
direct
0.250 0.005 0.232
0.250 0.495 0.232
0.250 0.750 0.542
0.750 0.250 0.458
0.750 0.505 0.768
0.750 0.995 0.768
0.250 0.750 0.931
0.750 0.250 0.069
0.250 0.250 0.790
0.750 0.750 0.210
```


3.
The following is a simulated XRD peak list of NdSc2Cd6. It was derived from DFT lattice parameters and positions (GGA-PBE), using copper Kα.

Main lines, by intensity (10° ≤ 2θ ≤ 90°):
2theta	I (rel.)	(hkl)
36.27	100	3 0 0
34.30	92	1 1 1
68.36	29	3 0 2
50.78	29	2 2 1
63.99	28	4 1 1
45.82	25	3 0 1
27.05	18	0 0 1
65.25	17	3 3 0
87.07	12	5 2 1
11.91	11	1 0 0

Crystal structure
```
NdSc2Cd6
1.0
8.580 0.000 0.000
-4.290 7.431 0.000
0.000 0.000 3.297
Nd Sc Cd
1 2 6
direct
0.000 0.000 0.000
0.333 0.667 0.000
0.667 0.333 0.000
0.000 0.339 0.500
0.000 0.661 0.500
0.339 0.000 0.500
0.339 0.339 0.500
0.661 0.000 0.500
0.661 0.661 0.500
```


4.
The following is a simulated XRD peak list of NdScCd. It was derived from DFT lattice parameters and positions (GGA-PBE), using copper Kα.

Main lines, by intensity (10° ≤ 2θ ≤ 90°):
2theta	I (rel.)	(hkl)
32.52	100	1 0 3
37.08	37	1 1 0
63.97	27	2 1 3
54.91	19	1 1 6
53.44	17	2 0 0
39.01	13	0 0 6
36.89	10	1 0 4
26.78	10	1 0 1
68.12	9	2 0 6
66.59	8	1 0 9

Crystal structure
```
NdScCd
1.0
3.429 0.000 0.000
0.000 3.429 0.000
0.000 0.000 13.854
Nd Sc Cd
2 2 2
direct
0.250 0.250 0.239
0.750 0.750 0.761
0.250 0.250 0.578
0.750 0.750 0.422
0.250 0.250 0.931
0.750 0.750 0.069
```